Record 1
The following is a computed PXRD pattern of VCrCu2O4. It was derived from a DFT-relaxed cell (PBE+U, the Materials Project), using Cu Ka.

Crystal structure
a b c (Å): 5.9983 5.9983 10.6898
angles (deg): 99.20 99.20 29.60
Fractional positions:
1 V 0.0000 0.0000 0.2491
2 V 0.0000 0.0000 0.7509
3 Cr 0.5000 0.5000 0.0000
4 Cr 0.5000 0.5000 0.5000
5 Cu 0.2504 0.2504 0.1242
6 Cu 0.2504 0.2504 0.6246
7 Cu 0.7496 0.7496 0.3754
8 Cu 0.7496 0.7496 0.8758
9 O 0.0894 0.0894 0.0956
10 O 0.0889 0.0889 0.5969
11 O 0.4120 0.4120 0.1491
12 O 0.4126 0.4126 0.6497
13 O 0.5874 0.5874 0.3503
14 O 0.5880 0.5880 0.8509
15 O 0.9111 0.9111 0.4031
16 O 0.9106 0.9106 0.9044

Peak list (6 most intense, 5° ≤ 2θ ≤ 70°, in order of rising 2θ)
31.28 deg, intensity 432; 35.05 deg, intensity 510; 35.40 deg, intensity 1000; 39.78 deg, intensity 364; 55.18 deg, intensity 299; 60.07 deg, intensity 257


Record 2
The following is a computed PXRD pattern of CoPO4. It was derived from a DFT-relaxed cell (PBE+U, the Materials Project), using Cu Ka.

Crystal structure
a b c (Å): 10.3050 6.9446 5.0314
angles (deg): 90.00 90.00 90.00
Fractional positions:
1 Co 0.0914 0.2217 0.0000
2 Co 0.4086 0.7217 0.5000
3 Co 0.5914 0.2783 0.0000
4 Co 0.9086 0.7783 0.5000
5 P 0.1707 0.9829 0.5068
6 P 0.3293 0.4829 0.0068
7 P 0.6707 0.5171 0.5068
8 P 0.8293 0.0171 0.0068
9 O 0.0854 0.8028 0.4432
10 O 0.1194 0.1633 0.3605
11 O 0.1676 0.0199 0.8095
12 O 0.1874 0.4396 0.9220
13 O 0.3126 0.9396 0.4220
14 O 0.3324 0.5199 0.3095
15 O 0.3806 0.6633 0.8605
16 O 0.4146 0.3028 0.9432
17 O 0.5854 0.6972 0.4432
18 O 0.6194 0.3367 0.3605
19 O 0.6676 0.4801 0.8095
20 O 0.6874 0.0604 0.9220
21 O 0.8126 0.5604 0.4220
22 O 0.8324 0.9801 0.3095
23 O 0.8806 0.8367 0.8605
24 O 0.9146 0.1972 0.9432

Peak list (6 most intense, 5° ≤ 2θ ≤ 70°, in order of rising 2θ)
15.39 deg, intensity 596; 21.47 deg, intensity 622; 21.81 deg, intensity 1000; 23.48 deg, intensity 377; 35.69 deg, intensity 281; 35.93 deg, intensity 293


Record 3
The following is a computed PXRD pattern of Mg14VCoO16. It was derived from a DFT-relaxed cell (PBE+U, the Materials Project), using Cu Ka.

Crystal structure
a b c (Å): 4.2732 8.5198 8.5693
angles (deg): 90.00 90.00 90.00
Fractional positions:
1 Mg 0.0000 0.0000 0.0000
2 Mg 0.0000 0.0000 0.5000
3 Mg 0.0000 0.2508 0.2504
4 Mg 0.0000 0.2508 0.7496
5 Mg 0.0000 0.7492 0.2504
6 Mg 0.0000 0.7492 0.7496
7 Mg 0.5000 0.0000 0.2497
8 Mg 0.5000 0.0000 0.7503
9 Mg 0.5000 0.2494 0.0000
10 Mg 0.5000 0.2496 0.5000
11 Mg 0.5000 0.5000 0.2511
12 Mg 0.5000 0.5000 0.7489
13 Mg 0.5000 0.7504 0.5000
14 Mg 0.5000 0.7506 0.0000
15 V 0.0000 0.5000 0.0000
16 Co 0.0000 0.5000 0.5000
17 O 0.0000 0.0000 0.2513
18 O 0.0000 0.0000 0.7487
19 O 0.0000 0.2441 0.0000
20 O 0.0000 0.2491 0.5000
21 O 0.0000 0.5000 0.2508
22 O 0.0000 0.5000 0.7492
23 O 0.0000 0.7509 0.5000
24 O 0.0000 0.7559 0.0000
25 O 0.5000 0.0000 0.0000
26 O 0.5000 0.0000 0.5000
27 O 0.5000 0.2505 0.2505
28 O 0.5000 0.2505 0.7495
29 O 0.5000 0.5000 0.0000
30 O 0.5000 0.5000 0.5000
31 O 0.5000 0.7495 0.2505
32 O 0.5000 0.7495 0.7495

Peak list (6 most intense, 5° ≤ 2θ ≤ 70°, in order of rising 2θ)
36.42 deg, intensity 456; 42.18 deg, intensity 899; 42.30 deg, intensity 891; 42.44 deg, intensity 880; 61.27 deg, intensity 505; 61.42 deg, intensity 1000


Record 4
The following is a computed PXRD pattern of MgScTlMo2O8. It was derived from a DFT-relaxed cell (PBE+U, the Materials Project), using Cu Ka.

Crystal structure
a b c (Å): 5.8952 5.8952 8.8913
angles (deg): 90.00 90.00 120.00
Fractional positions:
1 Mg 0.0000 0.0000 0.0000
2 Sc 0.0000 0.0000 0.7115
3 Tl 0.0000 0.0000 0.3245
4 Mo 0.3333 0.6667 0.4832
5 Mo 0.6667 0.3333 0.9449
6 O 0.1621 0.3242 0.5417
7 O 0.1621 0.8379 0.5417
8 O 0.3042 0.1521 0.8620
9 O 0.3333 0.6667 0.2876
10 O 0.6667 0.3333 0.1499
11 O 0.6758 0.8379 0.5417
12 O 0.8479 0.1521 0.8620
13 O 0.8479 0.6958 0.8620

Peak list (6 most intense, 5° ≤ 2θ ≤ 70°, in order of rising 2θ)
17.37 deg, intensity 314; 20.04 deg, intensity 1000; 26.59 deg, intensity 381; 30.32 deg, intensity 553; 35.01 deg, intensity 286; 36.60 deg, intensity 256